[1]
The following is a simulated powder XRD pattern of CaB. It was derived from the GGA-PBE geometry in Alexandria, using Cu Kα (weighted mean of Kα1 and Kα2).
No peak broadening, texture or thermal motion is included.

Main lines, low angle first (2θ from 15° to 90°):
17.63°, d = 5.032 Å, intensity 21, hkl 2 0 0
25.03°, d = 3.558 Å, intensity 100, hkl 2 2 0
29.21°, d = 3.057 Å, intensity 51, hkl 1 0 1
34.32°, d = 2.613 Å, intensity 60, hkl 2 1 1
35.69°, d = 2.516 Å, intensity 82, hkl 4 0 0
38.84°, d = 2.319 Å, intensity 25, hkl 3 0 1
42.95°, d = 2.106 Å, intensity 45, hkl 3 2 1
46.76°, d = 1.943 Å, intensity 25, hkl 4 1 1
51.36°, d = 1.779 Å, intensity 25, hkl 4 4 0
53.76°, d = 1.705 Å, intensity 24, hkl 4 3 1
57.95°, d = 1.591 Å, intensity 19, hkl 6 2 0
69.48°, d = 1.353 Å, intensity 19, hkl 4 0 2

Structural model:
Cell lengths 10.064, 10.064, 3.209 Å; angles 90.00, 90.00, 90.00 degrees
Space group I4/mmm (No. 139)
Symmetry-distinct sites (fractional):
Ca: 0.000 0.247 0.000 [8 per cell]
B: 0.236 0.236 0.500 [8 per cell]



[2]
The following is a simulated powder XRD pattern of Sm3B7Rh. It was derived from the GGA-PBE geometry in Alexandria, using Cu Kα (weighted mean of Kα1 and Kα2).
No peak broadening, texture or thermal motion is included.

Main lines, low angle first (2θ from 15° to 90°):
25.61°, d = 3.478 Å, intensity 93, hkl 1 1 0
29.01°, d = 3.078 Å, intensity 86, hkl 0 4 2
30.21°, d = 2.958 Å, intensity 74, hkl 0 2 3
31.56°, d = 2.835 Å, intensity 33, hkl 1 3 1
33.37°, d = 2.685 Å, intensity 42, hkl 0 6 0
37.66°, d = 2.389 Å, intensity 49, hkl 1 5 0
38.35°, d = 2.347 Å, intensity 100, hkl 1 1 3
38.85°, d = 2.318 Å, intensity 55, hkl 1 5 1
42.30°, d = 2.137 Å, intensity 27, hkl 1 5 2
51.28°, d = 1.782 Å, intensity 36, hkl 2 0 0
55.63°, d = 1.652 Å, intensity 29, hkl 1 7 3
60.68°, d = 1.526 Å, intensity 40, hkl 0 10 2

Structural model:
Cell lengths 3.562, 16.112, 9.541 Å; angles 90.00, 90.00, 90.00 degrees
Space group Cmcm (No. 63)
Symmetry-distinct sites (fractional):
Sm: 0.000 0.105 0.062 [8 per cell]
Sm: 0.000 0.246 0.750 [4 per cell]
B: 0.000 0.273 0.033 [8 per cell]
B: 0.000 0.368 0.152 [8 per cell]
B: 0.000 0.463 0.750 [4 per cell]
B: 0.000 0.477 0.098 [8 per cell]
Rh: 0.000 0.056 0.750 [4 per cell]